Entry 1:
Theoretical powder diffraction line list
Compound: Fe3C8Br16N8
Radiation: Cu Kα (weighted mean of Kα1 and Kα2)
Structure: DFT lattice parameters and positions (PBE)
Lines closer than 0.1° are merged.

Principal peaks in the range 10° ≤ 2θ ≤ 80°, by angle:
hkl 1 -1 2, 4.005 Å, 2θ 22.2, I 100; hkl 1 -2 0, 3.986 Å, 2θ 22.3, I 44; hkl 1 1 3, 3.630 Å, 2θ 24.5, I 92; hkl -2 1 1, 3.584 Å, 2θ 24.8, I 43; hkl 2 1 -1, 3.421 Å, 2θ 26.0, I 90; hkl 0 3 1, 3.150 Å, 2θ 28.3, I 40; hkl 1 -2 2, 3.071 Å, 2θ 29.1, I 61; hkl 2 2 0, 3.052 Å, 2θ 29.3, I 46

Atomic structure:
Cell lengths 8.088, 9.457, 12.204 Å; angles 76.91, 87.63, 89.02 degrees
Space group P-1 (No. 2)
Inequivalent atoms, fractional coordinates:
Fe 0.000 0.000 0.000 x1
Fe 0.370 0.750 0.713 x2
C 0.051 0.665 0.357 x2
C 0.116 0.029 0.233 x2
C 0.153 0.689 0.046 x2
C 0.321 0.135 0.873 x2
Br 0.127 0.620 0.767 x2
Br 0.140 0.348 0.562 x2
Br 0.186 0.028 0.371 x2
Br 0.253 0.514 0.078 x2
Br 0.306 0.988 0.619 x2
Br 0.472 0.370 0.403 x2
Br 0.478 0.227 0.130 x2
Br 0.498 0.782 0.202 x2
N 0.075 0.022 0.144 x2
N 0.095 0.805 0.027 x2
N 0.177 0.677 0.305 x2
N 0.203 0.082 0.924 x2

Entry 2:
Theoretical powder diffraction line list
Compound: GdCBr
Radiation: Cu Kα (weighted mean of Kα1 and Kα2)
Structure: DFT lattice parameters and positions (PBE)
Lines closer than 0.1° are merged.

Principal peaks in the range 10° ≤ 2θ ≤ 80°, by angle:
hkl 1 1 0, 3.387 Å, 2θ 26.3, I 44; hkl 2 0 1, 3.145 Å, 2θ 28.4, I 100; hkl 1 1 -2, 2.935 Å, 2θ 30.5, I 93; hkl 1 1 2, 2.714 Å, 2θ 33.0, I 34; hkl 2 0 -3, 2.681 Å, 2θ 33.4, I 33; hkl 1 1 -3, 2.504 Å, 2θ 35.9, I 69; hkl 3 1 -1, 2.019 Å, 2θ 44.9, I 44; hkl 1 1 4, 1.954 Å, 2θ 46.5, I 41

Atomic structure:
Cell lengths 7.112, 3.869, 10.323 Å; angles 90.00, 100.12, 90.00 degrees
Space group C2/m (No. 12)
Inequivalent atoms, fractional coordinates:
Gd 0.090 0.000 0.354 x4
C 0.088 0.500 0.536 x4
Br 0.200 0.500 0.168 x4

Entry 3:
Theoretical powder diffraction line list
Compound: GdCBr
Radiation: Cu Kα (weighted mean of Kα1 and Kα2)
Structure: DFT lattice parameters and positions (PBE)
Lines closer than 0.1° are merged.

Principal peaks in the range 10° ≤ 2θ ≤ 80°, by angle:
hkl 1 1 0, 3.402 Å, 2θ 26.2, I 46; hkl 2 0 -2, 3.026 Å, 2θ 29.5, I 66; hkl 1 1 -2, 2.875 Å, 2θ 31.1, I 35; hkl 2 0 2, 2.794 Å, 2θ 32.0, I 23; hkl 1 1 2, 2.769 Å, 2θ 32.3, I 100; hkl 1 1 -4, 2.067 Å, 2θ 43.8, I 40; hkl 3 1 0, 2.020 Å, 2θ 44.9, I 38; hkl 2 2 -2, 1.632 Å, 2θ 56.4, I 27

Atomic structure:
Cell lengths 7.125, 3.875, 10.129 Å; angles 90.00, 94.86, 90.00 degrees
Space group C2/m (No. 12)
Inequivalent atoms, fractional coordinates:
Gd 0.145 0.000 0.145 x4
C 0.075 0.500 0.965 x4
Br 0.175 0.000 0.668 x4

Entry 4:
Theoretical powder diffraction line list
Compound: HgH4C4Br4N2
Radiation: Cu Kα (weighted mean of Kα1 and Kα2)
Structure: DFT lattice parameters and positions (PBE)
Lines closer than 0.1° are merged.

Principal peaks in the range 10° ≤ 2θ ≤ 80°, by angle:
hkl 1 1 0, 6.485 Å, 2θ 13.7, I 100; hkl 0 1 2, 6.396 Å, 2θ 13.8, I 83; hkl 1 0 2, 4.351 Å, 2θ 20.4, I 39; hkl 2 0 0, 3.817 Å, 2θ 23.3, I 46; hkl 0 0 4, 3.744 Å, 2θ 23.8, I 45; hkl 2 2 -3, 3.497 Å, 2θ 25.5, I 46; hkl 1 3 -3, 3.327 Å, 2θ 26.8, I 50; hkl 2 4 -3, 2.492 Å, 2θ 36.0, I 41

Atomic structure:
Cell lengths 8.870, 12.295, 17.402 Å; angles 90.00, 120.61, 90.00 degrees
Space group P2_1/c (No. 14)
Inequivalent atoms, fractional coordinates:
Hg 0.226 0.153 0.402 x4
H 0.096 0.238 0.082 x4
H 0.270 0.696 0.157 x4
H 0.271 0.031 0.610 x4
H 0.333 0.687 0.488 x4
C 0.128 0.563 0.400 x4
C 0.150 0.646 0.341 x4
C 0.442 0.003 0.297 x4
C 0.468 0.004 0.758 x4
Br 0.125 0.510 0.944 x4
Br 0.170 0.705 0.632 x4
Br 0.269 0.206 0.104 x4
Br 0.352 0.183 0.878 x4
N 0.238 0.648 0.431 x4
N 0.387 0.016 0.670 x4